The following is a simulated powder diffractogram of KCu2AsS3. It was derived from a structure optimized by DFT (PBE), using Cu Kα (weighted mean of Kα1 and Kα2).

Cell and atoms:
abc: 6.3500 8.9936 10.4101
angles: 90.77 91.15 90.51
Space group P-1 (No. 2)
Asymmetric unit:
1 K 0.2053 0.4310 0.1285 [2 per cell]
2 K 0.2870 0.5638 0.6274 [2 per cell]
3 Cu 0.0045 0.9009 0.6684 [2 per cell]
4 Cu 0.0762 0.8443 0.0463 [2 per cell]
5 Cu 0.4363 0.1379 0.5404 [2 per cell]
6 Cu 0.4852 0.2481 0.8546 [2 per cell]
7 As 0.0311 0.8183 0.3457 [2 per cell]
8 As 0.4869 0.9509 0.8564 [2 per cell]
9 S 0.1348 0.3036 0.8277 [2 per cell]
10 S 0.1379 0.2679 0.4744 [2 per cell]
11 S 0.1489 0.0808 0.1370 [2 per cell]
12 S 0.3539 0.6977 0.3355 [2 per cell]
13 S 0.3540 0.7293 0.9455 [2 per cell]
14 S 0.3650 0.9142 0.6464 [2 per cell]

Largest 10 diffraction maxima, in order of rising 2θ, 10° ≤ 2θ ≤ 90°:
| d/Å | 2θ/deg | intensity | h k l |
| --- | --- | --- | --- |
| 3.174 | 28.11 | 42 | 2 0 0 |
| 3.019 | 29.59 | 38 | 1 0 3 |
| 3.004 | 29.74 | 100 | 2 -1 0 |
| 2.913 | 30.70 | 74 | 1 1 -3 |
| 2.892 | 30.92 | 76 | 0 3 -1 |
| 2.871 | 31.15 | 36 | 0 3 1 |
| 2.848 | 31.41 | 71 | 1 1 3 |
| 2.603 | 34.46 | 58 | 0 0 4 |
| 2.142 | 42.18 | 35 | 2 -3 1 |
| 1.651 | 55.68 | 37 | -3 3 2 |


The following is a simulated powder diffractogram of PmAl3Ag3. It was derived from a structure optimized by DFT (PBE), using Cu Kα (weighted mean of Kα1 and Kα2).

Cell and atoms:
abc: 8.1681 8.1681 15.7333
angles: 90.00 90.00 120.00
Space group R-3 (No. 148, hexagonal axes)
Asymmetric unit:
1 Pm 0.0000 0.0000 0.1786 [6 per cell]
2 Al 0.0018 0.3444 0.2910 [18 per cell]
3 Ag 0.0044 0.7250 0.5528 [18 per cell]

Largest 10 diffraction maxima, in order of rising 2θ, 10° ≤ 2θ ≤ 90°:
| d/Å | 2θ/deg | intensity | h k l |
| --- | --- | --- | --- |
| 5.245 | 16.90 | 70 | 0 0 3 |
| 3.451 | 25.82 | 25 | 0 2 1 |
| 3.223 | 27.67 | 94 | 1 1 3 |
| 2.636 | 34.02 | 22 | 3 -1 1 |
| 2.531 | 35.46 | 27 | 3 -2 2 |
| 2.358 | 38.17 | 75 | 3 0 0 |
| 2.207 | 40.88 | 100 | 1 1 6 |
| 2.151 | 42.01 | 25 | 0 3 3 |
| 2.037 | 44.47 | 19 | 3 -2 5 |
| 1.611 | 57.17 | 17 | 4 -2 6 |


The following is a simulated powder diffractogram of MgRuO4. It was derived from a structure optimized by DFT (PBE), using Cu Kα (weighted mean of Kα1 and Kα2).

Cell and atoms:
abc: 5.6245 4.6754 5.5321
angles: 90.00 113.37 90.00
Space group P2_1/c (No. 14)
Asymmetric unit:
1 Mg 0.0000 0.0000 0.0000 [2 per cell]
2 Ru 0.5000 0.0000 0.5000 [2 per cell]
3 O 0.1809 0.1879 0.3725 [4 per cell]
4 O 0.3568 0.7163 0.6676 [4 per cell]

Largest 10 diffraction maxima, in order of rising 2θ, 10° ≤ 2θ ≤ 90°:
| d/Å | 2θ/deg | intensity | h k l |
| --- | --- | --- | --- |
| 5.163 | 17.17 | 57 | 1 0 0 |
| 3.440 | 25.90 | 41 | 0 1 1 |
| 3.301 | 27.01 | 100 | 1 1 -1 |
| 2.562 | 35.02 | 32 | 1 1 1 |
| 2.539 | 35.35 | 16 | 0 0 2 |
| 1.737 | 52.69 | 16 | 3 1 -1 |
| 1.733 | 52.83 | 18 | 2 2 0 |
| 1.720 | 53.26 | 18 | 0 2 2 |
| 1.711 | 53.55 | 16 | 1 1 -3 |
| 1.650 | 55.69 | 18 | 2 2 -2 |


The following is a simulated powder diffractogram of Ho2CuB8O16. It was derived from a structure optimized by DFT (PBE), using Cu Kα (weighted mean of Kα1 and Kα2).

Cell and atoms:
abc: 6.2316 8.5057 10.2466
angles: 90.00 90.00 90.00
Space group Pbam (No. 55)
Asymmetric unit:
1 Ho 0.0000 0.0000 0.1819 [4 per cell]
2 Cu 0.0000 0.0000 0.5000 [2 per cell]
3 B 0.0000 0.5000 0.1938 [4 per cell]
4 B 0.1153 0.3176 0.0000 [4 per cell]
5 B 0.1171 0.6936 0.3771 [8 per cell]
6 O 0.0619 0.8456 0.3590 [8 per cell]
7 O 0.0637 0.1631 0.0000 [4 per cell]
8 O 0.1464 0.6275 0.5000 [4 per cell]
9 O 0.1493 0.4013 0.1161 [8 per cell]
10 O 0.1522 0.5947 0.2701 [8 per cell]

Largest 10 diffraction maxima, in order of rising 2θ, 10° ≤ 2θ ≤ 90°:
| d/Å | 2θ/deg | intensity | h k l |
| --- | --- | --- | --- |
| 5.027 | 17.64 | 100 | 1 1 0 |
| 4.253 | 20.89 | 45 | 0 2 0 |
| 3.116 | 28.65 | 28 | 2 0 0 |
| 2.825 | 31.67 | 43 | 1 1 3 |
| 2.663 | 33.66 | 44 | 0 2 3 |
| 2.581 | 34.76 | 22 | 1 3 0 |
| 2.513 | 35.72 | 22 | 2 2 0 |
| 2.059 | 43.98 | 35 | 1 3 3 |
| 2.024 | 44.77 | 31 | 2 2 3 |
| 2.018 | 44.92 | 24 | 3 1 0 |


The following is a simulated powder diffractogram of La2Th3Si4. It was derived from a structure optimized by DFT (PBE), using Cu Kα (weighted mean of Kα1 and Kα2).

Cell and atoms:
abc: 7.8971 7.9539 7.8814
angles: 90.00 105.56 90.00
Space group P2_1/c (No. 14)
Asymmetric unit:
1 La 0.2055 0.1815 0.0951 [4 per cell]
2 Th 0.2418 0.6803 0.2550 [4 per cell]
3 Th 0.5000 0.0000 0.5000 [2 per cell]
4 Si 0.0883 0.5221 0.8925 [4 per cell]
5 Si 0.4947 0.1174 0.8803 [4 per cell]

Largest 10 diffraction maxima, in order of rising 2θ, 10° ≤ 2θ ≤ 90°:
| d/Å | 2θ/deg | intensity | h k l |
| --- | --- | --- | --- |
| 3.523 | 25.28 | 63 | 0 2 1 |
| 3.454 | 25.80 | 54 | 1 1 -2 |
| 3.141 | 28.41 | 47 | 2 0 -2 |
| 2.875 | 31.11 | 80 | 1 1 2 |
| 2.761 | 32.43 | 73 | 2 2 -1 |
| 2.748 | 32.58 | 100 | 2 2 0 |
| 2.490 | 36.06 | 49 | 1 1 -3 |
| 2.441 | 36.83 | 38 | 1 3 -1 |
| 1.766 | 51.76 | 37 | 2 4 -1 |
| 1.707 | 53.71 | 50 | 1 3 3 |


The following is a simulated powder diffractogram of Ca3Ga2Sb4. It was derived from a structure optimized by DFT (PBE), using Cu Kα (weighted mean of Kα1 and Kα2).

Cell and atoms:
abc: 6.8870 16.8921 4.5821
angles: 90.00 90.00 90.00
Space group Pnnm (No. 58)
Asymmetric unit:
1 Ca 0.0000 0.0000 0.0000 [2 per cell]
2 Ca 0.2215 0.3055 0.5000 [4 per cell]
3 Ga 0.1432 0.5896 0.0000 [4 per cell]
4 Sb 0.2286 0.1700 0.0000 [4 per cell]
5 Sb 0.2454 0.4327 0.0000 [4 per cell]

Largest 10 diffraction maxima, in order of rising 2θ, 10° ≤ 2θ ≤ 90°:
| d/Å | 2θ/deg | intensity | h k l |
| --- | --- | --- | --- |
| 3.721 | 23.91 | 39 | 1 1 1 |
| 3.600 | 24.73 | 51 | 1 4 0 |
| 3.554 | 25.06 | 66 | 0 3 1 |
| 3.443 | 25.87 | 85 | 2 0 0 |
| 2.719 | 32.94 | 100 | 0 5 1 |
| 2.473 | 36.33 | 79 | 2 3 1 |
| 2.291 | 39.33 | 53 | 0 0 2 |
| 2.135 | 42.34 | 59 | 0 7 1 |
| 2.039 | 44.44 | 39 | 1 7 1 |
| 1.907 | 47.68 | 31 | 2 0 2 |